Structure and calculated powder diffractogram of Y4TmBi (DFT lattice parameters and positions (PBE); copper Kα).
Neutral-atom scattering factors, no anomalous dispersion.

Structure:
```
Y4TmBi
1.0
3.687 -3.687 0.000
3.687 3.687 0.000
-0.008 0.000 7.815
Y Tm Bi
4 1 1
Cartesian
5.526 -1.842 1.907
1.839 1.842 5.908
5.526 1.842 1.907
1.839 -1.842 5.908
0.000 0.000 0.000
3.683 0.000 3.907
```

Peak list (6 most intense, 2θ = 10–90°, in order of rising 2θ)
two_theta  Rel. int.
20.48  86.3
33.42  100.0
34.40  46.6
40.37  31.1
59.09  19.1
61.00  35.0